# Cs2V4O9
Computed powder XRD pattern, λ = 1.5418 Å (Cu Kα). Input: a crystal structure in Alexandria, relaxed with PBE+U.

Cell and atoms:
```
data_Cs2V4O9
_chemical_formula_sum 'Cs4 V8 O18'
_cell_length_a 5.8511
_cell_length_b 5.8511
_cell_length_c 15.5906
_cell_angle_alpha 90.00
_cell_angle_beta 90.00
_cell_angle_gamma 90.00
_space_group_name_H-M_alt 'P 1'
_space_group_IT_number 1
loop_
_space_group_symop_operation_xyz
'x,y,z'
loop_
_atom_site_label
_atom_site_fract_x
_atom_site_fract_y
_atom_site_fract_z
_atom_site_occupancy
Cs1 0.2332 0.2500 0.0000 1
Cs2 0.2500 0.7668 0.5000 1
Cs3 0.7500 0.2332 0.5000 1
Cs4 0.7668 0.7500 0.0000 1
V1 0.2118 0.3544 0.2973 1
V2 0.2118 0.3544 0.7027 1
V3 0.3544 0.7882 0.2027 1
V4 0.3544 0.7882 0.7973 1
V5 0.6456 0.2118 0.2027 1
V6 0.6456 0.2118 0.7973 1
V7 0.7882 0.6456 0.2973 1
V8 0.7882 0.6456 0.7027 1
O1 0.1196 0.6802 0.2828 1
O2 0.1196 0.6802 0.7171 1
O3 0.2634 0.2818 0.3991 1
O4 0.2634 0.2818 0.6009 1
O5 0.2818 0.7366 0.1009 1
O6 0.2818 0.7366 0.8991 1
O7 0.3198 0.1196 0.2172 1
O8 0.3198 0.1196 0.7829 1
O9 0.5000 0.5000 0.2500 1
O10 0.5000 0.5000 0.7500 1
O11 0.6802 0.8804 0.2172 1
O12 0.6802 0.8804 0.7829 1
O13 0.7182 0.2634 0.1009 1
O14 0.7182 0.2634 0.8991 1
O15 0.7366 0.7182 0.3991 1
O16 0.7366 0.7182 0.6009 1
O17 0.8804 0.3198 0.2828 1
O18 0.8804 0.3198 0.7171 1
```

Peak list (10 most intense, 10 to 80 degrees two-theta, by angle)
2θ = 22.23°, intensity 32
2θ = 22.84°, intensity 46
2θ = 27.56°, intensity 100
2θ = 30.56°, intensity 52
2θ = 32.69°, intensity 14
2θ = 36.07°, intensity 14
2θ = 38.48°, intensity 20
2θ = 46.30°, intensity 23
2θ = 52.50°, intensity 20
2θ = 57.97°, intensity 14